1.
Computed powder XRD pattern
Compound: K2Tl6Tc
Radiation: Cu Kα (weighted mean of Kα1 and Kα2)
Structure: a cell relaxed with GGA-PBE

Cell and atoms:
a = 7.3420 Å, b = 7.3420 Å, c = 7.3420 Å
α = 60.00°, β = 60.00°, γ = 60.00°
Atoms (fractional coordinates):
K1 0.2500 0.2500 0.2500
K2 0.7500 0.7500 0.7500
Tl1 0.2317 0.2317 0.7683
Tl2 0.2317 0.7683 0.2317
Tl3 0.2317 0.7683 0.7683
Tl4 0.7683 0.2317 0.2317
Tl5 0.7683 0.2317 0.7683
Tl6 0.7683 0.7683 0.2317
Tc1 0.5000 0.5000 0.5000

Principal peaks in the range 2θ = 10–90°, by angle:
d [Å], intensity
5.192, 39
2.997, 100
2.596, 70
2.382, 13
2.322, 17
1.836, 47
1.565, 38
1.499, 15
1.191, 14
1.161, 18

---

2.
Computed powder XRD pattern
Compound: K5Te3
Radiation: Cu Kα (weighted mean of Kα1 and Kα2)
Structure: a cell relaxed with GGA-PBE

Cell and atoms:
a = 10.3294 Å, b = 10.3294 Å, c = 10.3294 Å
α = 95.69°, β = 95.69°, γ = 143.28°
Atoms (fractional coordinates):
K1 0.0881 0.2187 0.3069
K2 0.2187 0.9119 0.1306
K3 0.2500 0.7500 0.5000
K4 0.2757 0.4086 0.6842
K5 0.4086 0.7243 0.1329
K6 0.5914 0.2757 0.8671
K7 0.7243 0.5914 0.3158
K8 0.7500 0.2500 0.5000
K9 0.7813 0.0881 0.8694
K10 0.9119 0.7813 0.6931
Te1 0.1547 0.6561 0.8108
Te2 0.2812 0.2812 0.0000
Te3 0.3439 0.1547 0.4986
Te4 0.6561 0.8453 0.5014
Te5 0.7188 0.7188 0.0000
Te6 0.8453 0.3439 0.1892

Principal peaks in the range 2θ = 10–90°, by angle:
d [Å], intensity
4.489, 89
4.384, 76
3.311, 50
3.100, 95
2.987, 100
2.945, 73
2.394, 68
2.373, 61
2.307, 56
1.822, 47

---

3.
Computed powder XRD pattern
Compound: K2Te
Radiation: Cu Kα (weighted mean of Kα1 and Kα2)
Structure: a cell relaxed with GGA-PBE

Cell and atoms:
a = 5.8210 Å, b = 5.8210 Å, c = 5.8210 Å
α = 60.00°, β = 60.00°, γ = 60.00°
Atoms (fractional coordinates):
K1 0.2500 0.2500 0.2500
K2 0.7500 0.7500 0.7500
Te1 0.0000 0.0000 0.0000

Principal peaks in the range 2θ = 10–90°, by angle:
d [Å], intensity
4.753, 83
2.910, 100
2.482, 46
2.058, 18
1.889, 20
1.680, 36
1.584, 15
1.391, 15
1.302, 15
1.100, 18

---

4.
Computed powder XRD pattern
Compound: KTh2Te6
Radiation: Cu Kα (weighted mean of Kα1 and Kα2)
Structure: a cell relaxed with GGA-PBE

Cell and atoms:
a = 6.1702 Å, b = 12.2183 Å, c = 12.2183 Å
α = 20.97°, β = 90.00°, γ = 90.00°
Atoms (fractional coordinates):
K1 0.0000 0.0000 0.0000
Th1 0.0000 0.1823 0.1823
Th2 0.5000 0.8249 0.8249
Te1 0.0000 0.7785 0.7785
Te2 0.2492 0.6073 0.6073
Te3 0.2534 0.3999 0.3999
Te4 0.5000 0.2291 0.2291
Te5 0.7466 0.3999 0.3999
Te6 0.7508 0.6073 0.6073

Principal peaks in the range 2θ = 10–90°, by angle:
d [Å], intensity
5.489, 23
3.264, 100
2.988, 26
2.885, 27
2.744, 18
2.521, 40
2.487, 27
2.444, 17
2.417, 38
2.223, 24

---

5.
Computed powder XRD pattern
Compound: K2ZnTe2
Radiation: Cu Kα (weighted mean of Kα1 and Kα2)
Structure: a cell relaxed with GGA-PBE

Cell and atoms:
a = 8.7400 Å, b = 8.7400 Å, c = 8.7400 Å
α = 130.11°, β = 71.39°, γ = 132.44°
Atoms (fractional coordinates):
K1 0.1406 0.1831 0.3236
K2 0.3594 0.6831 0.0425
K3 0.6406 0.3169 0.9575
K4 0.8594 0.8169 0.6764
Zn1 0.2500 0.7500 0.5000
Zn2 0.7500 0.2500 0.5000
Te1 0.1068 0.6933 0.8001
Te2 0.3932 0.1933 0.5865
Te3 0.6068 0.8067 0.4135
Te4 0.8932 0.3067 0.1999

Principal peaks in the range 2θ = 10–90°, by angle:
d [Å], intensity
7.098, 47
6.542, 87
4.139, 100
3.549, 39
3.524, 50
3.183, 50
2.688, 44
2.557, 53
2.547, 61
2.501, 80

---

6.
Computed powder XRD pattern
Compound: KZr12Te16
Radiation: Cu Kα (weighted mean of Kα1 and Kα2)
Structure: a cell relaxed with GGA-PBE

Cell and atoms:
a = 7.9390 Å, b = 11.2066 Å, c = 11.8553 Å
α = 118.06°, β = 109.42°, γ = 90.09°
Atoms (fractional coordinates):
K1 0.0000 0.0000 0.0000
Zr1 0.1200 0.1258 0.4927
Zr2 0.1892 0.6331 0.1263
Zr3 0.1933 0.5075 0.6339
Zr4 0.3092 0.4927 0.3669
Zr5 0.3117 0.3658 0.8726
Zr6 0.3779 0.8734 0.5074
Zr7 0.6221 0.1266 0.4926
Zr8 0.6883 0.6342 0.1274
Zr9 0.6908 0.5073 0.6331
Zr10 0.8067 0.4925 0.3661
Zr11 0.8108 0.3669 0.8737
Zr12 0.8800 0.8742 0.5073
Te1 0.0419 0.6664 0.3333
Te2 0.0469 0.2902 0.3457
Te3 0.1537 0.3454 0.0553
Te4 0.2302 0.0549 0.7100
Te5 0.2719 0.9447 0.2907
Te6 0.3478 0.6547 0.9447
Te7 0.4520 0.7106 0.6554
Te8 0.4580 0.3329 0.6662
Te9 0.5420 0.6671 0.3338
Te10 0.5480 0.2894 0.3446
Te11 0.6522 0.3453 0.0553
Te12 0.7281 0.0553 0.7093
Te13 0.7698 0.9451 0.2900
Te14 0.8463 0.6546 0.9447
Te15 0.9531 0.7098 0.6543
Te16 0.9581 0.3336 0.6667

Principal peaks in the range 2θ = 10–90°, by angle:
d [Å], intensity
3.236, 60
3.229, 15
3.071, 49
2.693, 100
2.687, 36
2.288, 47
1.985, 21
1.943, 20
1.940, 26
1.309, 16